Structure and computed X-ray diffraction stick pattern of Ta2BSe (a cell relaxed with PBE; Cu Ka).
Kinematic intensities with the Lorentz-polarization factor, no thermal factor.

The 10 most intense peaks (10° ≤ 2θ ≤ 90°), low angle first:
Position (°2θ), d/Å, I/Imax, hkl
25.1, 3.547, 6.5, 1 1 1
29.1, 3.071, 47.3, 2 0 0
41.6, 2.172, 100.0, 2 2 0
49.2, 1.852, 3.2, 3 1 1
51.5, 1.773, 13.5, 2 2 2
60.3, 1.536, 16.8, 4 0 0
66.3, 1.409, 1.3, 3 3 1
68.3, 1.374, 17.7, 4 2 0
75.9, 1.254, 34.4, 4 2 2
81.4, 1.182, 1.0, 5 1 1

a = 6.1428 Å, b = 6.1428 Å, c = 6.1428 Å
α = 90.00°, β = 90.00°, γ = 90.00°
Space group Fm-3m (No. 225)
Inequivalent atoms, fractional coordinates:
Ta (0.2500, 0.2500, 0.2500)
B (0.0000, 0.0000, 0.0000)
Se (0.0000, 0.0000, 0.5000)